For BaTbNdFeO6, the GGA+U geometry in the Materials Project gives the computed powder diffraction line list in this record (a wavelength of 1.5418 Å).
Neutral-atom scattering factors, no anomalous dispersion.

```
data_BaTbNdFeO6
_cell_length_a 8.2820
_cell_length_b 8.2820
_cell_length_c 8.2820
_cell_angle_alpha 90.00
_cell_angle_beta 90.00
_cell_angle_gamma 90.00
_symmetry_space_group_name_H-M 'F -4 3 m'
_symmetry_Int_Tables_number 216
_symmetry_space_group_name_Hall 'F -4 2 3'
loop_
_atom_site_label
_atom_site_type_symbol
_atom_site_fract_x
_atom_site_fract_y
_atom_site_fract_z
Ba1 Ba 0.0000 0.0000 0.0000
Tb1 Tb 0.2500 0.2500 0.2500
Nd1 Nd 0.0000 0.0000 0.5000
Fe1 Fe 0.2500 0.2500 0.7500
O1 O 0.0147 0.2500 0.7500
```

Peak list (6 most intense, 15 to 90 degrees two-theta, in order of rising 2θ)
- 2.928 Å, 2θ 30.5, rel. 100.0, hkl 2 2 0
- 2.071 Å, 2θ 43.7, rel. 29.9, hkl 4 0 0
- 1.691 Å, 2θ 54.3, rel. 39.8, hkl 4 2 2
- 1.464 Å, 2θ 63.5, rel. 18.4, hkl 4 4 0
- 1.310 Å, 2θ 72.1, rel. 17.5, hkl 6 2 0
- 1.107 Å, 2θ 88.3, rel. 21.3, hkl 6 4 2